Entry 1:
This entry pairs a crystal structure of NaHo2F7 with its theoretical X-ray powder pattern. Radiation: Cu Kα. Structure: a structure optimized by DFT (PBE).

Structure:
```
10
Lattice="4.195 0.000 0.000 -0.901 4.146 0.000 -0.142 -1.534 8.889" Properties=species:S:1:pos:R:3 pbc="T T T"
Na 0.000 0.000 0.000
Ho 0.433 1.455 5.970
Ho 2.073 -0.261 2.982
F 0.237 0.673 7.898
F 1.195 -0.567 5.305
F 1.181 1.750 3.528
F 2.118 0.362 0.969
F 2.501 2.090 6.617
F 3.256 0.684 4.517
F 3.268 3.406 2.387
```

Principal peaks in the range 10° ≤ 2θ ≤ 90°, sorted by position:
2theta, d/Å, I (rel.), (hkl)
21.71, 4.094, 54, 1 0 0
22.35, 3.978, 98, 0 1 -1
24.41, 3.647, 100, 1 0 1
25.50, 3.494, 72, 0 1 1
27.02, 3.300, 52, 0 1 -2
28.87, 3.093, 46, 1 0 -2
30.00, 2.979, 51, -1 1 1
30.16, 2.963, 57, 0 0 3
34.24, 2.619, 39, 1 1 0
44.97, 2.016, 40, 2 -1 0

***

Entry 2:
This entry pairs a crystal structure of La5SbPb3 with its theoretical X-ray powder pattern. Radiation: Cu Kα. Structure: a structure optimized by DFT (PBE).

Structure:
```
18
Lattice="9.923 0.000 0.000 -4.962 8.594 0.000 0.000 0.000 7.196" Properties=species:S:1:pos:R:3 pbc="T T T"
La -1.293 2.239 1.799
La -3.669 6.355 5.397
La 2.585 0.000 1.799
La 1.293 2.239 5.397
La 0.000 5.729 0.000
La 0.000 5.729 3.598
La 4.962 2.865 0.000
La 4.962 2.865 3.598
La 7.338 0.000 5.397
La 3.669 6.355 1.799
Sb 0.000 0.000 0.000
Sb 0.000 0.000 3.598
Pb -1.937 3.355 5.397
Pb -3.025 5.239 1.799
Pb 3.874 0.000 5.397
Pb 1.937 3.355 1.799
Pb 6.050 0.000 1.799
Pb 3.025 5.239 5.397
```

Principal peaks in the range 10° ≤ 2θ ≤ 90°, sorted by position:
2theta, d/Å, I (rel.), (hkl)
24.74, 3.598, 16, 0 0 2
30.19, 2.961, 78, 2 1 1
30.69, 2.913, 100, 1 1 2
31.22, 2.865, 68, 3 0 0
39.84, 2.263, 26, 3 1 1
44.35, 2.042, 22, 2 2 2
47.10, 1.930, 23, 2 1 3
55.24, 1.663, 12, 4 1 2
58.24, 1.584, 13, 4 2 1
60.80, 1.523, 25, 3 0 4